Record 1
# Y2ZnSi2Rh5
Simulated powder diffraction line list, CuKα. Input: the PBE geometry in Alexandria.
Kinematic intensities with the Lorentz-polarization factor, no thermal factor.

Structural model:
Unit cell a=9.758 b=9.758 c=3.431 alpha=90.00 beta=90.00 gamma=90.00
Positions (direct):
1 Y 0.174 0.326 0.000
2 Y 0.326 0.826 0.000
3 Y 0.674 0.174 0.000
4 Y 0.826 0.674 0.000
5 Zn 0.000 0.000 0.000
6 Zn 0.500 0.500 0.000
7 Si 0.126 0.626 0.000
8 Si 0.374 0.126 0.000
9 Si 0.626 0.874 0.000
10 Si 0.874 0.374 0.000
11 Rh 0.000 0.500 0.500
12 Rh 0.068 0.789 0.500
13 Rh 0.211 0.068 0.500
14 Rh 0.289 0.568 0.500
15 Rh 0.432 0.289 0.500
16 Rh 0.500 0.000 0.500
17 Rh 0.568 0.711 0.500
18 Rh 0.711 0.432 0.500
19 Rh 0.789 0.932 0.500
20 Rh 0.932 0.211 0.500

Peak list (8 most intense, 2θ = 10–90°, by angle)
two_theta  I_rel
33.22  41
36.95  27
38.02  62
39.27  100
41.38  26
42.54  37
53.41  22
67.42  22



Record 2
# Zr2Si4Rh3
Simulated powder diffraction line list, CuKα. Input: the PBE geometry in Alexandria.
Kinematic intensities with the Lorentz-polarization factor, no thermal factor.

Structural model:
Unit cell a=7.688 b=7.688 c=6.968 alpha=90.00 beta=90.00 gamma=138.18
Positions (direct):
1 Zr 0.099 0.901 0.901
2 Zr 0.401 0.599 0.401
3 Zr 0.599 0.401 0.599
4 Zr 0.901 0.099 0.099
5 Si 0.178 0.822 0.526
6 Si 0.188 0.312 0.750
7 Si 0.312 0.188 0.250
8 Si 0.322 0.678 0.026
9 Si 0.678 0.322 0.974
10 Si 0.688 0.812 0.750
11 Si 0.812 0.688 0.250
12 Si 0.822 0.178 0.474
13 Rh 0.000 0.000 0.500
14 Rh 0.020 0.480 0.750
15 Rh 0.480 0.020 0.250
16 Rh 0.500 0.500 0.000
17 Rh 0.520 0.980 0.750
18 Rh 0.980 0.520 0.250

Peak list (8 most intense, 2θ = 10–90°, by angle)
two_theta  I_rel
28.47  69
35.01  53
35.85  46
37.38  42
37.62  100
40.83  32
41.91  88
75.95  29



Record 3
# Zr3Si4Rh7
Simulated powder diffraction line list, CuKα. Input: the PBE geometry in Alexandria.
Kinematic intensities with the Lorentz-polarization factor, no thermal factor.

Structural model:
Unit cell a=7.645 b=7.645 c=9.017 alpha=122.86 beta=122.86 gamma=29.69
Positions (direct):
1 Zr 0.000 0.000 0.000
2 Zr 0.328 0.328 0.333
3 Zr 0.672 0.672 0.667
4 Si 0.111 0.111 0.835
5 Si 0.335 0.335 0.729
6 Si 0.665 0.665 0.271
7 Si 0.889 0.889 0.165
8 Rh 0.000 0.000 0.500
9 Rh 0.165 0.165 0.428
10 Rh 0.304 0.304 0.958
11 Rh 0.494 0.494 0.721
12 Rh 0.506 0.506 0.279
13 Rh 0.696 0.696 0.042
14 Rh 0.835 0.835 0.572

Peak list (8 most intense, 2θ = 10–90°, by angle)
two_theta  I_rel
36.87  100
38.24  25
38.31  58
40.04  26
41.31  29
44.44  34
46.36  45
66.18  23



Record 4
# ZrSi3Rh3
Simulated powder diffraction line list, CuKα. Input: the PBE geometry in Alexandria.
Kinematic intensities with the Lorentz-polarization factor, no thermal factor.

Structural model:
Unit cell a=6.409 b=6.409 c=6.409 alpha=90.00 beta=90.00 gamma=90.00
Positions (direct):
1 Zr 0.000 0.000 0.000
2 Zr 0.500 0.500 0.500
3 Si 0.000 0.250 0.500
4 Si 0.000 0.750 0.500
5 Si 0.250 0.500 0.000
6 Si 0.500 0.000 0.250
7 Si 0.500 0.000 0.750
8 Si 0.750 0.500 0.000
9 Rh 0.000 0.500 0.250
10 Rh 0.000 0.500 0.750
11 Rh 0.250 0.000 0.500
12 Rh 0.500 0.250 0.000
13 Rh 0.500 0.750 0.000
14 Rh 0.750 0.000 0.500

Peak list (8 most intense, 2θ = 10–90°, by angle)
two_theta  I_rel
27.84  44
31.20  59
34.27  100
49.25  22
53.49  54
57.52  26
82.42  15
85.75  17



Record 5
# Zr3Si2Rh5
Simulated powder diffraction line list, CuKα. Input: the PBE geometry in Alexandria.
Kinematic intensities with the Lorentz-polarization factor, no thermal factor.

Structural model:
Unit cell a=9.422 b=9.422 c=3.655 alpha=90.00 beta=90.00 gamma=90.00
Positions (direct):
1 Zr 0.000 0.000 0.000
2 Zr 0.173 0.327 0.000
3 Zr 0.327 0.827 0.000
4 Zr 0.500 0.500 0.000
5 Zr 0.673 0.173 0.000
6 Zr 0.827 0.673 0.000
7 Si 0.124 0.624 0.000
8 Si 0.376 0.124 0.000
9 Si 0.624 0.876 0.000
10 Si 0.876 0.376 0.000
11 Rh 0.000 0.500 0.500
12 Rh 0.069 0.788 0.500
13 Rh 0.212 0.069 0.500
14 Rh 0.288 0.569 0.500
15 Rh 0.431 0.288 0.500
16 Rh 0.500 0.000 0.500
17 Rh 0.569 0.712 0.500
18 Rh 0.712 0.431 0.500
19 Rh 0.788 0.931 0.500
20 Rh 0.931 0.212 0.500

Peak list (8 most intense, 2θ = 10–90°, by angle)
two_theta  I_rel
32.43  41
36.49  28
39.00  100
39.43  49
42.53  32
42.93  25
49.91  27
65.39  23



Record 6
# Zr3Si4Rh2
Simulated powder diffraction line list, CuKα. Input: the PBE geometry in Alexandria.
Kinematic intensities with the Lorentz-polarization factor, no thermal factor.

Structural model:
Unit cell a=5.545 b=5.545 c=7.747 alpha=108.80 beta=108.80 gamma=41.90
Positions (direct):
1 Zr 0.000 0.000 0.000
2 Zr 0.378 0.378 0.302
3 Zr 0.622 0.622 0.698
4 Si 0.079 0.079 0.407
5 Si 0.283 0.283 0.931
6 Si 0.717 0.717 0.069
7 Si 0.921 0.921 0.593
8 Rh 0.315 0.315 0.643
9 Rh 0.685 0.685 0.357

Peak list (8 most intense, 2θ = 10–90°, by angle)
two_theta  I_rel
12.17  29
28.63  26
32.32  48
35.79  100
36.71  35
37.09  47
44.50  50
45.77  43



Record 7
# Sm5Rh3
Simulated powder diffraction line list, CuKα. Input: the PBE geometry in Alexandria.
Kinematic intensities with the Lorentz-polarization factor, no thermal factor.

Structural model:
Unit cell a=11.133 b=11.133 c=6.471 alpha=90.00 beta=90.00 gamma=90.00
Positions (direct):
1 Sm 0.041 0.160 0.118
2 Sm 0.041 0.340 0.618
3 Sm 0.160 0.041 0.618
4 Sm 0.160 0.459 0.118
5 Sm 0.250 0.750 0.000
6 Sm 0.250 0.750 0.500
7 Sm 0.340 0.041 0.118
8 Sm 0.340 0.459 0.618
9 Sm 0.459 0.160 0.618
10 Sm 0.459 0.340 0.118
11 Sm 0.541 0.660 0.882
12 Sm 0.541 0.840 0.382
13 Sm 0.660 0.541 0.382
14 Sm 0.660 0.959 0.882
15 Sm 0.750 0.250 0.000
16 Sm 0.750 0.250 0.500
17 Sm 0.840 0.541 0.882
18 Sm 0.840 0.959 0.382
19 Sm 0.959 0.660 0.382
20 Sm 0.959 0.840 0.882
21 Rh 0.096 0.596 0.750
22 Rh 0.096 0.904 0.250
23 Rh 0.250 0.250 0.376
24 Rh 0.250 0.250 0.876
25 Rh 0.404 0.596 0.250
26 Rh 0.404 0.904 0.750
27 Rh 0.596 0.096 0.250
28 Rh 0.596 0.404 0.750
29 Rh 0.750 0.750 0.124
30 Rh 0.750 0.750 0.624
31 Rh 0.904 0.096 0.750
32 Rh 0.904 0.404 0.250

Peak list (8 most intense, 2θ = 10–90°, by angle)
two_theta  I_rel
28.87  57
32.12  38
33.02  39
36.06  100
36.86  21
37.76  25
38.76  19
60.46  18



Record 8
# Sm2Rh7
Simulated powder diffraction line list, CuKα. Input: the PBE geometry in Alexandria.
Kinematic intensities with the Lorentz-polarization factor, no thermal factor.

Structural model:
Unit cell a=13.525 b=13.525 c=13.525 alpha=22.54 beta=22.54 gamma=22.54
Positions (direct):
1 Sm 0.050 0.050 0.050
2 Sm 0.147 0.147 0.147
3 Sm 0.853 0.853 0.853
4 Sm 0.950 0.950 0.950
5 Rh 0.000 0.500 0.500
6 Rh 0.109 0.611 0.611
7 Rh 0.278 0.278 0.278
8 Rh 0.389 0.389 0.389
9 Rh 0.389 0.389 0.891
10 Rh 0.389 0.891 0.389
11 Rh 0.500 0.000 0.500
12 Rh 0.500 0.500 0.000
13 Rh 0.500 0.500 0.500
14 Rh 0.611 0.109 0.611
15 Rh 0.611 0.611 0.109
16 Rh 0.611 0.611 0.611
17 Rh 0.722 0.722 0.722
18 Rh 0.891 0.389 0.389

Peak list (8 most intense, 2θ = 10–90°, by angle)
two_theta  I_rel
31.65  22
33.91  32
39.43  30
39.80  100
41.09  27
43.60  34
64.66  24
71.37  24